(1)
The following is a simulated powder diffraction line list of V7CrFe3. It was derived from a structure optimized by DFT (GGA-PBE), using Cu Kα (weighted mean of Kα1 and Kα2).

Principal peaks in the range 2θ from 5° to 70°, most intense first:
1.981 Å, rel. 100.0; 2.132 Å, rel. 84.6; 1.986 Å, rel. 63.2; 2.007 Å, rel. 44.6; 2.124 Å, rel. 44.3; 2.064 Å, rel. 25.2; 2.158 Å, rel. 20.0; 1.927 Å, rel. 18.2

Structure:
```
V7CrFe3
1.0
2.5750 0.0000 0.0000
0.0000 11.9167 0.0000
-0.7993 0.0000 9.1414
V Cr Fe
14 2 6
Cartesian
-0.0552 2.9792 2.6034
-0.2278 1.0683 7.3398
-0.2278 4.8900 7.3398
0.1087 7.2292 4.2314
0.1087 10.6458 4.2314
0.1754 7.1476 8.4945
0.1754 10.7274 8.4945
1.6003 1.1893 0.6469
1.6003 4.7691 0.6469
1.6670 1.2709 4.9100
1.6670 4.6875 4.9100
2.0036 7.0267 1.8016
2.0036 10.8484 1.8016
1.8310 8.9375 6.5380
0.1090 8.9375 0.5639
1.6668 2.9792 8.5775
0.8724 0.8037 2.8628
0.8724 5.1546 2.8628
0.7130 2.9792 6.2286
1.0628 8.9375 2.9128
0.9034 6.7621 6.2786
0.9034 11.1130 6.2786
```

***

(2)
The following is a simulated powder diffraction line list of Ho4TlAsSe2. It was derived from a structure optimized by DFT (GGA-PBE), using Cu Kα (weighted mean of Kα1 and Kα2).

Principal peaks in the range 2θ from 5° to 70°, most intense first:
2.935 Å, rel. 100.0; 2.952 Å, rel. 51.0; 2.077 Å, rel. 37.8; 2.085 Å, rel. 37.8; 2.117 Å, rel. 19.5; 1.676 Å, rel. 19.5; 2.036 Å, rel. 17.9; 1.467 Å, rel. 12.2

Structure:
```
Ho4TlAsSe2
1.0
7.2463 0.0000 0.0000
0.0000 4.0726 0.0000
-2.3365 0.0000 6.8970
Ho Tl As Se
4 1 1 2
Cartesian
1.1972 0.0000 1.6605
0.0726 2.0363 5.2510
4.8372 2.0363 1.6461
3.7126 0.0000 5.2365
-1.1683 0.0000 3.4485
0.0000 2.0363 0.0000
3.6232 0.0000 0.0000
2.4549 2.0363 3.4485
```

***

(3)
The following is a simulated powder diffraction line list of PuTaCuO6. It was derived from a structure optimized by DFT (GGA-PBE), using Cu Kα (weighted mean of Kα1 and Kα2).

Principal peaks in the range 2θ from 5° to 70°, most intense first:
3.254 Å, rel. 100.0; 2.724 Å, rel. 76.3; 2.329 Å, rel. 64.5; 1.733 Å, rel. 59.4; 4.494 Å, rel. 59.2; 4.718 Å, rel. 32.4; 2.089 Å, rel. 29.0; 1.658 Å, rel. 28.3

Structure:
```
PuTaCuO6
1.0
5.4479 0.0000 0.0000
-2.7239 4.7180 0.0000
0.0000 0.0000 8.9883
Pu Ta Cu O
2 2 2 12
Cartesian
0.0000 3.1453 2.2471
2.7239 1.5727 6.7412
0.0000 3.1453 6.7412
2.7239 1.5727 2.2471
0.0000 0.0000 0.0000
0.0000 0.0000 4.4942
-0.9011 1.6881 5.6896
-1.7126 3.0936 7.7929
0.9011 1.6881 7.7929
-0.8115 4.6543 5.6896
1.9125 0.0637 1.1954
1.0114 1.6244 3.2988
1.7126 3.0936 5.6896
0.8115 4.6543 7.7929
3.5354 0.0637 3.2988
1.8228 3.0299 1.1954
4.4365 1.6244 1.1954
3.6250 3.0299 3.2988
```

***

(4)
The following is a simulated powder diffraction line list of Pr6Y3Ho. It was derived from a structure optimized by DFT (GGA-PBE), using Cu Kα (weighted mean of Kα1 and Kα2).

Principal peaks in the range 2θ from 5° to 70°, most intense first:
2.907 Å, rel. 100.0; 2.659 Å, rel. 69.2; 3.191 Å, rel. 68.2; 3.175 Å, rel. 46.9; 2.886 Å, rel. 41.4; 3.021 Å, rel. 27.0; 2.764 Å, rel. 26.9; 1.569 Å, rel. 26.3

Structure:
```
Pr6Y3Ho
1.0
5.5945 -9.8082 0.0000
5.5945 9.8082 0.0000
0.0000 0.0000 6.3545
Pr Y Ho
12 6 2
Cartesian
5.5945 9.0366 3.1773
2.9910 4.1240 6.0647
5.5945 4.3152 1.5125
3.7141 0.8292 0.8443
3.7141 -0.8292 4.0216
2.9910 -4.1240 2.8875
8.1980 4.1240 6.0647
7.4749 0.8292 0.8443
7.4749 -0.8292 4.0216
5.5945 -4.3152 4.6898
8.1980 -4.1240 2.8875
5.5945 -9.0366 0.0000
1.8812 2.2230 3.5400
1.8812 -2.2230 0.3627
5.5945 2.2484 4.2442
5.5945 -2.2484 1.0669
9.3078 2.2230 3.5400
9.3078 -2.2230 0.3627
5.5945 5.9016 4.4964
5.5945 -5.9016 1.3191
```

***

(5)
The following is a simulated powder diffraction line list of CaMg5Tl7. It was derived from a structure optimized by DFT (GGA-PBE), using Cu Kα (weighted mean of Kα1 and Kα2).

Principal peaks in the range 2θ from 5° to 70°, most intense first:
3.100 Å, rel. 100.0; 2.666 Å, rel. 67.8; 2.387 Å, rel. 51.9; 3.742 Å, rel. 48.3; 2.344 Å, rel. 35.5; 2.640 Å, rel. 25.2; 1.516 Å, rel. 24.8; 1.602 Å, rel. 23.8

Structure:
```
CaMg5Tl7
1.0
-3.0965 5.3786 5.2118
3.0965 -5.3786 5.2118
3.0965 5.3786 -5.2118
Ca Mg Tl
1 5 7
Cartesian
0.0000 0.0000 0.0000
1.5636 2.6504 2.4784
4.6294 2.6504 2.4784
0.0000 5.3786 2.5768
-1.5329 2.7282 7.6901
1.5329 2.7282 7.6901
3.0965 1.9656 -0.2230
3.0965 0.0000 2.2843
3.0965 -1.7566 5.1623
0.0000 0.0000 3.7297
3.0965 1.7566 5.1623
0.0000 0.0000 6.9889
0.0000 3.4130 4.9888
```

***

(6)
The following is a simulated powder diffraction line list of La2DyAl. It was derived from a structure optimized by DFT (GGA-PBE), using Cu Kα (weighted mean of Kα1 and Kα2).

Principal peaks in the range 2θ from 5° to 70°, most intense first:
2.672 Å, rel. 100.0; 4.059 Å, rel. 30.0; 3.074 Å, rel. 24.7; 2.702 Å, rel. 24.0; 1.484 Å, rel. 19.9; 1.554 Å, rel. 19.2; 1.775 Å, rel. 18.0; 2.030 Å, rel. 15.3

Structure:
```
La2DyAl
1.0
5.4041 0.0000 0.0000
0.0000 3.5520 6.1450
0.0000 -3.5520 6.1450
La Dy Al
4 2 2
Cartesian
0.0000 0.0000 0.0000
0.0000 -1.8946 3.3782
0.0000 1.8946 3.3782
2.7021 0.0000 4.3961
2.7021 -1.6553 7.2893
2.7021 1.6553 7.2893
0.0000 0.0000 6.4191
2.7021 0.0000 10.4018
```

***

(7)
The following is a simulated powder diffraction line list of PmY3Sc. It was derived from a structure optimized by DFT (GGA-PBE), using Cu Kα (weighted mean of Kα1 and Kα2).

Principal peaks in the range 2θ from 5° to 70°, most intense first:
2.723 Å, rel. 100.0; 2.803 Å, rel. 24.2; 3.115 Å, rel. 24.1; 1.514 Å, rel. 21.1; 1.602 Å, rel. 19.4; 1.501 Å, rel. 15.3; 2.084 Å, rel. 15.2; 1.798 Å, rel. 12.5

Structure:
```
PmY3Sc
1.0
6.2293 0.0000 0.0000
0.0000 5.6055 0.0000
-3.1076 0.0000 8.9927
Pm Y Sc
2 6 2
Cartesian
0.5060 1.4014 0.9498
2.6158 4.2041 8.0429
-0.5783 4.2041 2.7372
0.5042 1.4014 4.5107
2.5919 4.2041 0.9247
0.5298 1.4014 8.0680
2.6175 4.2041 4.4820
3.7001 1.4014 6.2555
-0.5056 4.2041 6.2771
3.6273 1.4014 2.7156
```

***

(8)
The following is a simulated powder diffraction line list of TlFeP. It was derived from a structure optimized by DFT (GGA-PBE), using Cu Kα (weighted mean of Kα1 and Kα2).

Principal peaks in the range 2θ from 5° to 70°, most intense first:
3.471 Å, rel. 100.0; 2.847 Å, rel. 92.7; 2.277 Å, rel. 43.1; 2.874 Å, rel. 35.1; 1.896 Å, rel. 32.3; 1.578 Å, rel. 31.7; 2.681 Å, rel. 31.2; 2.560 Å, rel. 31.0

Structure:
```
TlFeP
1.0
3.7921 0.0000 0.0000
0.0000 3.7921 0.0000
0.0000 0.0000 8.6232
Tl Fe P
2 2 2
Cartesian
0.9480 0.9480 1.5129
2.8440 2.8440 7.1103
0.9480 2.8440 4.3116
2.8440 0.9480 4.3116
0.9480 0.9480 5.4156
2.8440 2.8440 3.2076
```

***

(9)
The following is a simulated powder diffraction line list of Pm2P7Pd12. It was derived from a structure optimized by DFT (GGA-PBE), using Cu Kα (weighted mean of Kα1 and Kα2).

Principal peaks in the range 2θ from 5° to 70°, most intense first:
2.512 Å, rel. 100.0; 2.030 Å, rel. 25.5; 1.847 Å, rel. 16.9; 3.199 Å, rel. 14.3; 1.366 Å, rel. 11.2; 1.942 Å, rel. 9.9; 1.488 Å, rel. 9.5; 2.316 Å, rel. 8.0

Structure:
```
Pm2P7Pd12
1.0
9.7722 0.0000 0.0000
-4.8861 8.4630 0.0000
0.0000 0.0000 4.0590
Pm P Pd
2 7 12
Cartesian
0.0000 5.6420 1.0129
4.8861 2.8210 3.0461
0.0000 0.0000 0.0000
-0.8670 3.4853 3.0366
-1.4342 7.4711 3.0366
2.5849 2.4935 1.0224
2.3012 5.9695 3.0366
6.3204 0.9919 1.0224
5.7531 4.9777 1.0224
-2.4510 5.2675 3.0530
-3.1633 7.2329 1.0625
0.2039 2.1070 1.0625
1.9267 0.8769 2.9965
1.5498 3.7066 3.0530
3.9849 0.5112 1.0061
0.9012 7.9518 3.0530
3.3363 4.7564 1.0061
2.9594 7.5861 1.0625
4.6822 6.3560 2.9965
8.0494 1.2301 2.9965
7.3371 3.1955 1.0061
```

***

(10)
The following is a simulated powder diffraction line list of Mg2TeS4. It was derived from a structure optimized by DFT (GGA-PBE), using Cu Kα (weighted mean of Kα1 and Kα2).

Principal peaks in the range 2θ from 5° to 70°, most intense first:
5.770 Å, rel. 100.0; 2.242 Å, rel. 56.8; 3.479 Å, rel. 35.3; 2.885 Å, rel. 33.5; 2.258 Å, rel. 32.6; 3.638 Å, rel. 30.6; 1.904 Å, rel. 30.3; 2.794 Å, rel. 28.2

Structure:
```
Mg2TeS4
1.0
0.0000 6.6295 3.7502
6.1679 0.0000 3.7502
6.1679 6.6295 0.0000
Mg Te S
4 2 8
Cartesian
6.4896 3.2366 3.7502
8.9301 6.5514 5.6253
5.8461 10.0224 3.7502
3.4057 6.7076 5.6253
6.1679 6.6295 1.6424
3.0839 3.3148 3.5175
4.7909 2.2234 2.0114
10.6287 5.5381 3.8865
7.7489 7.7940 3.7137
1.3770 4.4061 2.0114
10.8329 8.7798 5.5888
4.5868 5.4650 3.7137
7.6707 11.1088 5.5888
1.7070 7.7209 3.8865
```

***

(11)
The following is a simulated powder diffraction line list of LaPr6Cd5. It was derived from a structure optimized by DFT (GGA-PBE), using Cu Kα (weighted mean of Kα1 and Kα2).

Principal peaks in the range 2θ from 5° to 70°, most intense first:
2.775 Å, rel. 100.0; 1.598 Å, rel. 27.6; 2.766 Å, rel. 25.5; 2.801 Å, rel. 25.1; 1.968 Å, rel. 17.9; 1.612 Å, rel. 17.3; 1.387 Å, rel. 10.6; 1.956 Å, rel. 8.7

Structure:
```
LaPr6Cd5
1.0
2.7657 -8.4026 0.0000
2.7657 8.4026 0.0000
0.0000 0.0000 7.8255
La Pr Cd
1 6 5
Cartesian
0.0000 0.0000 0.0000
2.7657 5.4762 1.9730
2.7657 5.4762 5.8524
2.7657 0.0000 2.1309
2.7657 0.0000 5.6946
2.7657 -5.4762 1.9730
2.7657 -5.4762 5.8524
0.0000 0.0000 3.9127
2.7657 2.8065 3.9127
2.7657 2.6308 0.0000
2.7657 -2.6308 0.0000
2.7657 -2.8065 3.9127
```

***

(12)
The following is a simulated powder diffraction line list of LaDy3Tm3. It was derived from a structure optimized by DFT (GGA-PBE), using Cu Kα (weighted mean of Kα1 and Kα2).

Principal peaks in the range 2θ from 5° to 70°, most intense first:
2.839 Å, rel. 100.0; 2.935 Å, rel. 93.0; 2.520 Å, rel. 73.7; 1.957 Å, rel. 26.4; 2.459 Å, rel. 25.4; 2.701 Å, rel. 25.0; 2.992 Å, rel. 24.1; 1.760 Å, rel. 23.5

Structure:
```
LaDy3Tm3
1.0
4.9175 2.8391 2.7009
-4.9175 2.8391 2.7009
0.0000 -5.6782 2.7009
La Dy Tm
1 3 3
Cartesian
0.0000 0.0000 0.0000
-1.7510 -1.0109 2.3871
1.7509 -1.0109 2.3871
0.0000 2.0218 2.3871
-1.9809 -1.1437 5.8459
1.9809 -1.1437 5.8459
0.0000 2.2874 5.8459
```

***

(13)
The following is a simulated powder diffraction line list of KNaEr2F8. It was derived from a structure optimized by DFT (GGA-PBE), using Cu Kα (weighted mean of Kα1 and Kα2).

Principal peaks in the range 2θ from 5° to 70°, most intense first:
3.212 Å, rel. 100.0; 5.917 Å, rel. 61.8; 1.996 Å, rel. 46.3; 3.824 Å, rel. 33.9; 1.643 Å, rel. 20.8; 2.340 Å, rel. 19.1; 1.753 Å, rel. 17.2; 2.459 Å, rel. 16.2

Structure:
```
KNaEr2F8
1.0
5.9171 0.0000 0.0000
0.0000 3.8291 0.0000
-0.0067 0.0000 7.6379
K Na Er F
1 1 2 8
Cartesian
0.0000 0.0000 0.0000
-0.0033 0.0000 3.8189
2.9588 1.9145 1.9408
2.9516 1.9145 5.6971
1.6554 1.9145 3.8171
1.6919 0.0000 5.6542
1.7020 0.0000 1.9811
1.7314 1.9145 7.6372
4.1790 1.9145 0.0007
4.2084 0.0000 5.6567
4.2185 0.0000 1.9837
4.2550 1.9145 3.8208
```